For PuAlNi2H, a cell relaxed with PBE gives the computed powder XRD pattern in this record (copper Kα).
Neutral-atom scattering factors, no anomalous dispersion.

Structure:
```
10
Lattice="1.9182 -5.2883 0.0000 1.9182 5.2883 0.0000 0.0000 0.0000 6.6791" Properties=species:S:1:pos:R:3 pbc="T T T"
Pu 1.9182 4.6227 5.0093
Pu 1.9182 -4.6227 1.6698
Al 1.9182 2.9929 1.6698
Al 1.9182 -2.9929 5.0093
Ni 1.9182 1.6811 3.7081
Ni 1.9182 1.6811 6.3105
Ni 1.9182 -1.6811 0.3686
Ni 1.9182 -1.6811 2.9710
H 1.9182 0.0000 0.0000
H 1.9182 0.0000 3.3395
```

Peak list (8 most intense, 2θ = 15–90°, low angle first)
2θ (°)	d/Å	I/Imax
21.43	4.146	317
24.69	3.606	385
28.12	3.173	262
31.69	2.824	308
34.55	2.596	306
36.55	2.459	542
36.68	2.450	1000
37.16	2.420	755

=====

For NdEr3Zn8, a cell relaxed with PBE gives the computed powder XRD pattern in this record (copper Kα).
Neutral-atom scattering factors, no anomalous dispersion.

Structure:
```
12
Lattice="5.5423 0.0000 0.0000 -2.7711 4.7998 0.0000 0.0000 0.0000 8.6907" Properties=species:S:1:pos:R:3 pbc="T T T"
Nd 0.0000 0.0000 0.0000
Er 0.0000 0.0000 3.3488
Er 2.7712 1.5999 4.3989
Er 2.7712 1.5999 7.7221
Zn 0.0000 1.5896 5.9922
Zn -1.3945 4.0050 5.9922
Zn 0.0000 3.1998 3.8553
Zn 0.0000 3.1998 8.2187
Zn 2.7711 0.0258 1.7205
Zn 1.4079 2.3870 1.7205
Zn 1.3945 4.0050 5.9922
Zn 4.1344 2.3870 1.7205
```

Peak list (8 most intense, 2θ = 15–90°, low angle first)
2θ (°)	d/Å	I/Imax
32.31	2.771	568
36.22	2.480	784
38.53	2.336	1000
38.93	2.313	543
60.19	1.538	345
61.79	1.501	245
66.41	1.408	274
67.61	1.386	256

=====

For Dy2Ho5ThSc, a cell relaxed with PBE gives the computed powder XRD pattern in this record (copper Kα).
Neutral-atom scattering factors, no anomalous dispersion.

Structure:
```
18
Lattice="2.8083 -10.8215 0.0000 2.8083 10.8215 0.0000 0.0000 0.0000 9.4027" Properties=species:S:1:pos:R:3 pbc="T T T"
Dy 2.8083 8.3289 4.7014
Dy 2.8083 7.9346 8.3573
Dy 2.8083 -7.9346 3.6560
Dy 2.8083 -8.3289 0.0000
Ho 2.8083 10.5435 1.8156
Ho 2.8083 5.0077 4.7618
Ho 2.8083 4.2445 8.4488
Ho 2.8083 2.2736 2.1062
Ho 2.8083 0.6311 8.7166
Ho 2.8083 -0.6311 4.0152
Ho 2.8083 -2.2736 6.8076
Ho 2.8083 -4.2445 3.7475
Ho 2.8083 -5.0077 0.0604
Ho 2.8083 -10.5435 6.5170
Th 2.8083 2.1432 5.7020
Th 2.8083 -2.1432 1.0006
Sc 2.8083 6.7036 1.8254
Sc 2.8083 -6.7036 6.5268
```

Peak list (8 most intense, 2θ = 15–90°, low angle first)
2θ (°)	d/Å	I/Imax
26.47	3.368	178
27.66	3.225	239
31.87	2.808	601
32.32	2.770	1000
32.99	2.715	546
33.08	2.708	262
34.46	2.603	415
57.08	1.614	235

=====

For CePr6Nd, a cell relaxed with PBE gives the computed powder XRD pattern in this record (copper Kα).
Neutral-atom scattering factors, no anomalous dispersion.

Structure:
```
8
Lattice="0.0000 5.2158 7.3751 3.6959 0.0000 7.3751 3.6959 5.2158 0.0000" Properties=species:S:1:pos:R:3 pbc="T T T"
Ce 0.0000 0.0000 0.0000
Pr 1.8479 2.6079 1.8040
Pr 3.6959 5.2158 3.6483
Pr 1.8479 2.6079 5.5711
Pr 5.5438 7.8237 9.1791
Pr 3.6959 5.2158 11.1020
Pr 5.5438 7.8237 12.9462
Nd 3.6959 5.2158 7.3751
```

Peak list (8 most intense, 2θ = 15–90°, low angle first)
2θ (°)	d/Å	I/Imax
29.65	3.013	1000
34.37	2.610	507
49.38	1.846	303
58.67	1.574	432
61.50	1.508	63
61.60	1.506	62
80.18	1.197	145
82.71	1.167	134

=====

For PrMgTlPb, a cell relaxed with PBE gives the computed powder XRD pattern in this record (copper Kα).
Neutral-atom scattering factors, no anomalous dispersion.

Structure:
```
4
Lattice="4.5781 0.0000 0.0000 0.0000 4.8528 0.0000 0.0000 0.0000 5.0001" Properties=species:S:1:pos:R:3 pbc="T T T"
Pr 0.0000 0.0000 0.0000
Mg 0.0000 2.4264 2.5000
Tl 2.2891 0.0000 2.5000
Pb 2.2891 2.4264 0.0000
```

Peak list (8 most intense, 2θ = 15–90°, low angle first)
2θ (°)	d/Å	I/Imax
19.39	4.578	142
25.58	3.482	150
32.30	2.772	1000
35.92	2.500	189
37.05	2.426	174
39.36	2.289	147
62.30	1.490	155
63.80	1.459	147

=====

For AcLa8Pm3, a cell relaxed with PBE gives the computed powder XRD pattern in this record (copper Kα).
Neutral-atom scattering factors, no anomalous dispersion.

Structure:
```
12
Lattice="6.5459 0.0000 0.0000 3.2493 8.2800 0.0000 3.2722 -0.5688 8.2718" Properties=species:S:1:pos:R:3 pbc="T T T"
Ac 0.0000 0.0000 0.0000
La 4.4010 2.9976 7.5964
La 4.3893 7.3682 3.5108
La 3.2696 1.2899 1.3901
La 4.4077 0.3911 4.8014
La 4.3982 4.7618 0.7219
La 6.5585 5.1078 5.4811
La 6.5680 2.5963 2.7874
La 9.7977 6.4114 6.8824
Pm 7.6437 1.6832 6.2112
Pm 7.6329 6.0745 2.1023
Pm 9.7980 3.8559 4.1369
```

Peak list (8 most intense, 2θ = 15–90°, low angle first)
2θ (°)	d/Å	I/Imax
27.29	3.268	279
29.50	3.028	302
31.08	2.878	1000
31.16	2.870	186
40.60	2.222	156
48.19	1.888	156
53.32	1.718	218
57.52	1.602	137

=====

For Tl3SnPb6, a cell relaxed with PBE gives the computed powder XRD pattern in this record (copper Kα).
Neutral-atom scattering factors, no anomalous dispersion.

Structure:
```
10
Lattice="6.4900 0.0000 0.0000 -3.2450 5.6205 0.0000 0.0000 0.0000 8.9118" Properties=species:S:1:pos:R:3 pbc="T T T"
Tl 0.0000 0.0000 0.0000
Tl 0.0000 3.7470 0.0000
Tl 3.2450 1.8735 0.0000
Sn 0.0000 0.0000 4.4559
Pb -1.3366 2.3151 2.8030
Pb -1.9084 3.3054 6.1088
Pb 2.6732 0.0000 2.8030
Pb 1.3366 2.3151 6.1088
Pb 3.8168 0.0000 6.1088
Pb 1.9084 3.3054 2.8030
```

Peak list (8 most intense, 2θ = 15–90°, low angle first)
2θ (°)	d/Å	I/Imax
29.29	3.049	904
30.08	2.971	375
31.84	2.810	296
34.18	2.623	1000
43.81	2.066	168
48.60	1.873	167
49.64	1.837	277
60.25	1.536	272

=====

For U2ZnGe2Ru5, a cell relaxed with PBE gives the computed powder XRD pattern in this record (copper Kα).
Neutral-atom scattering factors, no anomalous dispersion.

Structure:
```
20
Lattice="9.6965 0.0000 0.0000 0.0000 9.6965 0.0000 0.0000 0.0000 3.5472" Properties=species:S:1:pos:R:3 pbc="T T T"
U 1.6961 3.1521 0.0000
U 3.1521 8.0003 0.0000
U 6.5444 1.6961 0.0000
U 8.0003 6.5444 0.0000
Zn 0.0000 0.0000 0.0000
Zn 4.8482 4.8482 0.0000
Ge 1.2126 6.0609 0.0000
Ge 3.6356 1.2126 0.0000
Ge 6.0609 8.4838 0.0000
Ge 8.4838 3.6356 0.0000
Ru 0.0000 4.8482 1.7736
Ru 0.8661 7.7805 1.7736
Ru 1.9160 0.8661 1.7736
Ru 2.9322 5.7143 1.7736
Ru 3.9821 2.9322 1.7736
Ru 4.8482 0.0000 1.7736
Ru 5.7143 6.7642 1.7736
Ru 6.7642 3.9821 1.7736
Ru 7.7805 8.8304 1.7736
Ru 8.8304 1.9160 1.7736
```

Peak list (8 most intense, 2θ = 15–90°, low angle first)
2θ (°)	d/Å	I/Imax
32.61	2.746	471
38.27	2.352	585
38.82	2.320	1000
39.43	2.285	171
42.17	2.143	327
51.53	1.774	212
65.97	1.416	241
76.38	1.247	180